[1]
Starting from a cell relaxed with GGA-PBE, the powder XRD pattern of LiAl5Cu6 was simulated for Cu Kα (weighted mean of Kα1 and Kα2).

Top 6 peaks for 10° ≤ 2θ ≤ 90°, in order of rising 2θ:
| 2θ/deg | I_rel |
| --- | --- |
| 29.8 | 18 |
| 30.2 | 33 |
| 43.0 | 100 |
| 43.1 | 25 |
| 43.5 | 24 |
| 62.9 | 15 |

Crystal structure
```
12
Lattice="-2.0823 3.0000 6.2922 2.0823 -3.0000 6.2922 2.0823 3.0000 -6.2922" Properties=species:S:1:pos:R:3 pbc="T T T"
Li 0.0000 0.0000 0.0000
Al 2.0823 0.0000 2.0467
Al 0.0000 0.0000 4.1960
Al 0.0000 3.0000 0.0000
Al 0.0000 0.0000 8.3884
Al 0.0000 3.0000 4.2456
Cu 2.0823 -1.4943 4.1774
Cu 2.0823 1.5109 0.0000
Cu 0.0000 1.5057 2.1148
Cu 2.0823 1.4943 4.1774
Cu 0.0000 1.4891 6.2922
Cu 0.0000 4.4943 2.1148
```

=====

[2]
Starting from a cell relaxed with GGA-PBE, the powder XRD pattern of Na2Ga2AgPd5 was simulated for Cu Kα (weighted mean of Kα1 and Kα2).

Top 6 peaks for 10° ≤ 2θ ≤ 90°, in order of rising 2θ:
| 2θ/deg | I_rel |
| --- | --- |
| 20.3 | 42 |
| 37.9 | 25 |
| 38.1 | 100 |
| 41.3 | 22 |
| 41.4 | 40 |
| 49.9 | 20 |

Crystal structure
```
20
Lattice="9.7839 0.0000 0.0000 0.0000 9.7839 0.0000 0.0000 0.0000 3.6563" Properties=species:S:1:pos:R:3 pbc="T T T"
Na 1.6873 3.2046 0.0000
Na 3.2046 8.0966 0.0000
Na 6.5792 1.6873 0.0000
Na 8.0966 6.5792 0.0000
Ga 1.2595 6.1514 0.0000
Ga 3.6325 1.2595 0.0000
Ga 6.1514 8.5244 0.0000
Ga 8.5244 3.6325 0.0000
Ag 0.0000 0.0000 0.0000
Ag 4.8919 4.8919 0.0000
Pd 0.0000 4.8919 1.8282
Pd 0.6734 7.7654 1.8282
Pd 2.0184 0.6734 1.8282
Pd 2.8735 5.5654 1.8282
Pd 4.2185 2.8735 1.8282
Pd 4.8919 0.0000 1.8282
Pd 5.5654 6.9103 1.8282
Pd 6.9103 4.2185 1.8282
Pd 7.7654 9.1104 1.8282
Pd 9.1104 2.0184 1.8282
```

=====

[3]
Starting from a cell relaxed with GGA-PBE, the powder XRD pattern of Ac2B2C3 was simulated for Cu Kα (weighted mean of Kα1 and Kα2).

Top 6 peaks for 10° ≤ 2θ ≤ 90°, in order of rising 2θ:
| 2θ/deg | I_rel |
| --- | --- |
| 23.6 | 89 |
| 24.6 | 68 |
| 24.9 | 58 |
| 28.7 | 100 |
| 30.8 | 61 |
| 31.3 | 86 |

Crystal structure
```
14
Lattice="14.4862 0.0000 0.0000 0.0000 4.0698 0.0000 -0.2465 0.0000 4.2569" Properties=species:S:1:pos:R:3 pbc="T T T"
Ac 2.0518 0.0000 1.1204
Ac 4.9448 2.0349 3.1365
Ac 9.2949 2.0349 1.1204
Ac 12.1879 0.0000 3.1365
B 0.9447 2.0349 3.4636
B 6.0519 0.0000 0.7933
B 8.1878 0.0000 3.4636
B 13.2950 2.0349 0.7933
C 0.0000 2.0349 0.0000
C 2.3038 2.0349 3.0329
C 4.6928 0.0000 1.2240
C 7.2431 0.0000 0.0000
C 9.5469 0.0000 3.0329
C 11.9359 2.0349 1.2240
```

=====

[4]
Starting from a cell relaxed with GGA-PBE, the powder XRD pattern of PrTmRu was simulated for Cu Kα (weighted mean of Kα1 and Kα2).

Top 6 peaks for 10° ≤ 2θ ≤ 90°, in order of rising 2θ:
| 2θ/deg | I_rel |
| --- | --- |
| 10.3 | 35 |
| 31.2 | 100 |
| 33.1 | 34 |
| 36.2 | 78 |
| 41.7 | 30 |
| 59.0 | 24 |

Crystal structure
```
12
Lattice="8.5669 0.0000 0.0000 0.0000 8.5669 0.0000 0.0000 0.0000 4.3330" Properties=species:S:1:pos:R:3 pbc="T T T"
Pr 0.4968 2.4292 0.0000
Pr 2.4292 8.0702 2.1665
Pr 6.1377 0.4968 2.1665
Pr 8.0702 6.1377 0.0000
Tm 2.8476 5.3431 0.0000
Tm 3.2239 2.8476 2.1665
Tm 5.3431 5.7193 2.1665
Tm 5.7193 3.2239 0.0000
Ru 1.1228 5.0097 2.1665
Ru 3.5572 1.1228 0.0000
Ru 5.0097 7.4442 0.0000
Ru 7.4442 3.5572 2.1665
```

=====

[5]
Starting from a cell relaxed with GGA-PBE, the powder XRD pattern of RbMg3Pb3 was simulated for Cu Kα (weighted mean of Kα1 and Kα2).

Top 6 peaks for 10° ≤ 2θ ≤ 90°, in order of rising 2θ:
| 2θ/deg | I_rel |
| --- | --- |
| 14.9 | 36 |
| 21.9 | 38 |
| 24.6 | 100 |
| 28.2 | 40 |
| 32.3 | 96 |
| 37.7 | 37 |

Crystal structure
```
14
Lattice="8.1028 0.0000 0.0000 0.0000 4.7740 0.0000 -3.6588 0.0000 11.8862" Properties=species:S:1:pos:R:3 pbc="T T T"
Rb -0.0333 1.1935 4.9628
Rb 4.4774 3.5805 6.9234
Mg -1.8839 3.5805 10.9440
Mg 2.0669 1.1935 1.3965
Mg 0.1570 1.1935 10.7116
Mg 4.2871 3.5805 1.1746
Mg 2.3772 3.5805 10.4897
Mg 6.3280 1.1935 0.9422
Pb 0.0439 3.5805 1.5614
Pb -0.1941 3.5805 8.4152
Pb 2.5539 3.5805 3.7067
Pb 1.8902 1.1935 8.1795
Pb 4.6382 1.1935 3.4711
Pb 4.4002 1.1935 10.3249
```

=====

[6]
Starting from a cell relaxed with GGA-PBE, the powder XRD pattern of LiGa5 was simulated for Cu Kα (weighted mean of Kα1 and Kα2).

Top 6 peaks for 10° ≤ 2θ ≤ 90°, in order of rising 2θ:
| 2θ/deg | I_rel |
| --- | --- |
| 15.8 | 45 |
| 29.2 | 72 |
| 35.6 | 60 |
| 39.0 | 100 |
| 43.2 | 45 |
| 43.7 | 44 |

Crystal structure
```
12
Lattice="1.5723 -6.5371 0.0000 1.5723 6.5371 0.0000 0.0000 0.0000 10.9257" Properties=species:S:1:pos:R:3 pbc="T T T"
Li 1.5723 4.1383 8.1943
Li 1.5723 -4.1383 2.7314
Ga 1.5723 4.8231 2.7314
Ga 1.5723 2.2450 5.8738
Ga 1.5723 2.2450 10.5148
Ga 1.5723 0.3575 1.4168
Ga 1.5723 0.3575 4.0460
Ga 1.5723 -0.3575 6.8797
Ga 1.5723 -0.3575 9.5089
Ga 1.5723 -2.2450 0.4109
Ga 1.5723 -2.2450 5.0520
Ga 1.5723 -4.8231 8.1943
```

=====

[7]
Starting from a cell relaxed with GGA-PBE, the powder XRD pattern of ErZn5Ni7 was simulated for Cu Kα (weighted mean of Kα1 and Kα2).

Top 6 peaks for 10° ≤ 2θ ≤ 90°, in order of rising 2θ:
| 2θ/deg | I_rel |
| --- | --- |
| 30.0 | 41 |
| 42.6 | 100 |
| 43.1 | 99 |
| 43.2 | 62 |
| 43.5 | 36 |
| 48.1 | 41 |

Crystal structure
```
13
Lattice="-2.4604 4.1938 4.1592 2.4604 -4.1938 4.1592 2.4604 4.1938 -4.1592" Properties=species:S:1:pos:R:3 pbc="T T T"
Er 0.0000 0.0000 0.0000
Zn 1.2378 2.0621 -2.0048
Zn 3.6831 2.0621 -2.0048
Zn 2.4604 0.0000 1.8827
Zn -1.2226 2.1317 2.1544
Zn 1.2226 2.1317 2.1544
Ni 2.4604 1.8855 0.0786
Ni 0.0000 0.0000 3.0268
Ni 0.0000 2.9824 0.0860
Ni 0.0000 0.0000 5.4252
Ni 0.0000 5.4052 0.0860
Ni 0.0000 2.3083 4.2378
Ni 0.0000 4.1938 2.3881
```

=====

[8]
Starting from a cell relaxed with GGA-PBE, the powder XRD pattern of Rb2LiBeP2 was simulated for Cu Kα (weighted mean of Kα1 and Kα2).

Top 6 peaks for 10° ≤ 2θ ≤ 90°, in order of rising 2θ:
| 2θ/deg | I_rel |
| --- | --- |
| 23.6 | 53 |
| 29.2 | 32 |
| 29.8 | 34 |
| 30.7 | 100 |
| 42.2 | 28 |
| 50.6 | 21 |

Crystal structure
```
12
Lattice="-3.0626 7.9646 2.9944 3.0626 -7.9646 2.9944 3.0626 7.9646 -2.9944" Properties=species:S:1:pos:R:3 pbc="T T T"
Rb 1.4404 2.6008 0.0000
Rb 1.4404 -2.6008 2.9944
Rb 1.6221 10.5654 0.0000
Rb 1.6221 5.3638 2.9944
Li 0.0000 0.0000 1.4972
Li 0.0000 0.0000 4.4916
Be 3.0626 0.0000 1.4972
Be 0.0000 7.9646 1.4972
P 4.3472 1.1381 0.0000
P 1.2847 6.8265 0.0000
P 1.7779 1.1381 2.9944
P -1.2847 6.8265 2.9944
```

=====

[9]
Starting from a cell relaxed with GGA-PBE, the powder XRD pattern of Rb2NaCd10 was simulated for Cu Kα (weighted mean of Kα1 and Kα2).

Top 6 peaks for 10° ≤ 2θ ≤ 90°, in order of rising 2θ:
| 2θ/deg | I_rel |
| --- | --- |
| 12.3 | 100 |
| 17.3 | 77 |
| 30.2 | 90 |
| 32.0 | 51 |
| 32.3 | 87 |
| 36.3 | 85 |

Crystal structure
```
26
Lattice="6.0800 0.0000 0.0000 0.0000 20.5147 0.0000 0.0000 0.0000 7.1828" Properties=species:S:1:pos:R:3 pbc="T T T"
Rb 1.2168 3.6816 0.0000
Rb 1.8232 13.9389 0.0000
Rb 4.2569 6.5758 0.0000
Rb 4.8632 16.8331 0.0000
Na 0.0000 10.2573 3.5914
Na 3.0400 0.0000 3.5914
Cd 0.1239 1.3957 3.5914
Cd 0.5863 13.3896 3.5914
Cd 0.7032 16.2465 3.5914
Cd 1.2424 8.1209 1.4257
Cd 1.2424 8.1209 5.7571
Cd 1.7976 18.3782 1.4257
Cd 1.7976 18.3782 5.7571
Cd 2.3368 5.9892 3.5914
Cd 2.4537 3.1322 3.5914
Cd 2.9161 11.6531 3.5914
Cd 3.1639 8.8616 3.5914
Cd 3.6263 17.3825 3.5914
Cd 3.7433 14.5255 3.5914
Cd 4.2824 2.1365 1.4257
Cd 4.2824 2.1365 5.7571
Cd 4.8376 12.3938 1.4257
Cd 4.8376 12.3938 5.7571
Cd 5.3768 4.2682 3.5914
Cd 5.4937 7.1251 3.5914
Cd 5.9561 19.1190 3.5914
```

=====

[10]
Starting from a cell relaxed with GGA-PBE, the powder XRD pattern of Pu3Ni2Pt7 was simulated for Cu Kα (weighted mean of Kα1 and Kα2).

Top 6 peaks for 10° ≤ 2θ ≤ 90°, in order of rising 2θ:
| 2θ/deg | I_rel |
| --- | --- |
| 31.0 | 41 |
| 33.9 | 46 |
| 38.6 | 60 |
| 39.5 | 100 |
| 42.5 | 33 |
| 69.6 | 31 |

Crystal structure
```
12
Lattice="2.7023 1.5602 8.5481 -2.7023 1.5602 8.5481 0.0000 -3.1204 8.5481" Properties=species:S:1:pos:R:3 pbc="T T T"
Pu 0.0000 0.0000 0.0000
Pu 0.0000 0.0000 3.6196
Pu 0.0000 0.0000 22.0247
Ni 0.0000 0.0000 8.5412
Ni 0.0000 0.0000 17.1031
Pt -1.3629 -0.7869 10.5946
Pt 0.0000 -1.5738 15.0497
Pt -1.3629 0.7869 15.0497
Pt 0.0000 0.0000 12.8221
Pt 1.3629 -0.7869 10.5946
Pt 0.0000 1.5738 10.5946
Pt 1.3629 0.7869 15.0497
```